1.
The following is a theoretical powder diffractogram of Tb5Al2Ga2. It was derived from a structure optimized by DFT (GGA-PBE), using a wavelength of 1.5418 Å.
Intensities are scaled so that the largest is 100.

Atomic structure:
a = 15.6505 Å, b = 8.0730 Å, c = 7.4233 Å
α = 90.00°, β = 90.00°, γ = 90.00°
Space group Cmce (No. 64)
Inequivalent atoms, fractional coordinates:
1 Tb 0.0000 0.0000 0.0000 x4
2 Tb 0.1431 0.1866 0.3299 x16
3 Al 0.0000 0.1238 0.6124 x8
4 Ga 0.2087 0.0000 0.0000 x8

Peak list (10 most intense, 2θ from 10° to 90°, low angle first)
2θ = 25.11°, 3.546 Å, rel. 50
2θ = 27.05°, 3.297 Å, rel. 46
2θ = 31.59°, 2.832 Å, rel. 100
2θ = 31.85°, 2.809 Å, rel. 84
2θ = 32.78°, 2.732 Å, rel. 58
2θ = 32.98°, 2.716 Å, rel. 34
2θ = 33.27°, 2.693 Å, rel. 56
2θ = 34.12°, 2.628 Å, rel. 54
2θ = 35.96°, 2.497 Å, rel. 49
2θ = 38.48°, 2.339 Å, rel. 34



2.
The following is a theoretical powder diffractogram of TbAlGa3. It was derived from a structure optimized by DFT (GGA-PBE), using a wavelength of 1.5418 Å.
Intensities are scaled so that the largest is 100.

Atomic structure:
a = 5.6158 Å, b = 3.0257 Å, c = 11.9598 Å
α = 90.00°, β = 90.00°, γ = 90.00°
Space group Pmma (No. 51)
Inequivalent atoms, fractional coordinates:
1 Tb 0.2500 0.0000 0.1958 x2
2 Al 0.2500 0.5000 0.7985 x2
3 Ga 0.0000 0.5000 0.0000 x2
4 Ga 0.0074 0.5000 0.3945 x4

Peak list (10 most intense, 2θ from 10° to 90°, low angle first)
2θ = 17.45°, 5.083 Å, rel. 100
2θ = 33.18°, 2.700 Å, rel. 58
2θ = 34.50°, 2.600 Å, rel. 69
2θ = 35.31°, 2.542 Å, rel. 72
2θ = 37.31°, 2.410 Å, rel. 58
2θ = 37.60°, 2.392 Å, rel. 76
2θ = 39.24°, 2.296 Å, rel. 70
2θ = 43.99°, 2.058 Å, rel. 74
2θ = 45.61°, 1.989 Å, rel. 34
2θ = 59.23°, 1.560 Å, rel. 59



3.
The following is a theoretical powder diffractogram of Tb2YAl2Ga2. It was derived from a structure optimized by DFT (GGA-PBE), using a wavelength of 1.5418 Å.
Intensities are scaled so that the largest is 100.

Atomic structure:
a = 4.2599 Å, b = 4.2599 Å, c = 32.3621 Å
α = 90.00°, β = 90.00°, γ = 120.00°
Space group R-3m (No. 166, hexagonal axes)
Inequivalent atoms, fractional coordinates:
1 Tb 0.0000 0.0000 0.1250 x6
2 Y 0.0000 0.0000 0.0000 x3
3 Al 0.0000 0.0000 0.3924 x6
4 Ga 0.0000 0.0000 0.2624 x6

Peak list (10 most intense, 2θ from 10° to 90°, low angle first)
2θ = 24.28°, 3.665 Å, rel. 46
2θ = 31.01°, 2.884 Å, rel. 56
2θ = 32.86°, 2.726 Å, rel. 100
2θ = 41.87°, 2.157 Å, rel. 13
2θ = 42.44°, 2.130 Å, rel. 58
2θ = 51.53°, 1.774 Å, rel. 19
2θ = 53.48°, 1.713 Å, rel. 12
2θ = 54.69°, 1.678 Å, rel. 23
2θ = 61.14°, 1.516 Å, rel. 25
2θ = 71.58°, 1.318 Å, rel. 20



4.
The following is a theoretical powder diffractogram of AlGaTc. It was derived from a structure optimized by DFT (GGA-PBE), using a wavelength of 1.5418 Å.
Intensities are scaled so that the largest is 100.

Atomic structure:
a = 4.8256 Å, b = 8.8504 Å, c = 8.2383 Å
α = 90.00°, β = 90.00°, γ = 90.00°
Space group Fdd2 (No. 43)
Inequivalent atoms, fractional coordinates:
1 Al 0.0000 0.0000 0.0000 x8
2 Ga 0.0000 0.0000 0.6629 x8
3 Tc 0.0000 0.0000 0.3310 x8

Peak list (10 most intense, 2θ from 10° to 90°, low angle first)
2θ = 23.61°, 3.768 Å, rel. 40
2θ = 29.63°, 3.015 Å, rel. 21
2θ = 39.09°, 2.304 Å, rel. 100
2θ = 40.78°, 2.213 Å, rel. 44
2θ = 42.68°, 2.118 Å, rel. 78
2θ = 49.10°, 1.856 Å, rel. 51
2θ = 65.67°, 1.422 Å, rel. 21
2θ = 68.42°, 1.371 Å, rel. 18
2θ = 72.01°, 1.311 Å, rel. 16
2θ = 75.55°, 1.259 Å, rel. 14



5.
The following is a theoretical powder diffractogram of Al2GaTc. It was derived from a structure optimized by DFT (GGA-PBE), using a wavelength of 1.5418 Å.
Intensities are scaled so that the largest is 100.

Atomic structure:
a = 6.4390 Å, b = 8.0872 Å, c = 5.0147 Å
α = 90.00°, β = 90.00°, γ = 90.00°
Space group Pnma (No. 62)
Inequivalent atoms, fractional coordinates:
1 Al 0.1824 0.0448 0.0795 x8
2 Ga 0.0160 0.2500 0.6244 x4
3 Tc 0.1313 0.7500 0.8697 x4

Peak list (10 most intense, 2θ from 10° to 90°, low angle first)
2θ = 21.98°, 4.044 Å, rel. 92
2θ = 25.06°, 3.554 Å, rel. 31
2θ = 29.87°, 2.991 Å, rel. 29
2θ = 35.65°, 2.519 Å, rel. 29
2θ = 40.06°, 2.251 Å, rel. 47
2θ = 40.17°, 2.245 Å, rel. 100
2θ = 40.49°, 2.228 Å, rel. 35
2θ = 44.81°, 2.022 Å, rel. 68
2θ = 46.00°, 1.973 Å, rel. 35
2θ = 51.78°, 1.766 Å, rel. 36



6.
The following is a theoretical powder diffractogram of Al4GaTc. It was derived from a structure optimized by DFT (GGA-PBE), using a wavelength of 1.5418 Å.
Intensities are scaled so that the largest is 100.

Atomic structure:
a = 5.0487 Å, b = 5.2340 Å, c = 7.5381 Å
α = 90.00°, β = 108.82°, γ = 90.00°
Space group P2_1/m (No. 11)
Inequivalent atoms, fractional coordinates:
1 Al 0.1207 0.2500 0.4752 x2
2 Al 0.2542 0.7500 0.2013 x2
3 Al 0.2678 0.5038 0.8415 x4
4 Ga 0.4048 0.7500 0.5716 x2
5 Tc 0.1860 0.2500 0.1133 x2

Peak list (10 most intense, 2θ from 10° to 90°, low angle first)
2θ = 18.72°, 4.740 Å, rel. 74
2θ = 21.05°, 4.220 Å, rel. 89
2θ = 25.35°, 3.513 Å, rel. 56
2θ = 34.26°, 2.617 Å, rel. 66
2θ = 39.33°, 2.291 Å, rel. 100
2θ = 41.55°, 2.174 Å, rel. 72
2θ = 41.71°, 2.165 Å, rel. 86
2θ = 41.84°, 2.159 Å, rel. 58
2θ = 43.45°, 2.083 Å, rel. 62
2θ = 44.22°, 2.048 Å, rel. 63



7.
The following is a theoretical powder diffractogram of AlGaTe2. It was derived from a structure optimized by DFT (GGA-PBE), using a wavelength of 1.5418 Å.
Intensities are scaled so that the largest is 100.

Atomic structure:
a = 6.8601 Å, b = 4.2663 Å, c = 16.6675 Å
α = 90.00°, β = 90.00°, γ = 90.00°
Space group Pnma (No. 62)
Inequivalent atoms, fractional coordinates:
1 Al 0.1972 0.2500 0.1755 x4
2 Ga 0.1447 0.7500 0.4520 x4
3 Te 0.0836 0.2500 0.3272 x4
4 Te 0.0836 0.7500 0.0914 x4

Peak list (10 most intense, 2θ from 10° to 90°, low angle first)
2θ = 26.34°, 3.384 Å, rel. 89
2θ = 26.53°, 3.360 Å, rel. 79
2θ = 26.83°, 3.322 Å, rel. 100
2θ = 29.80°, 2.998 Å, rel. 47
2θ = 30.63°, 2.919 Å, rel. 33
2θ = 34.13°, 2.627 Å, rel. 54
2θ = 35.26°, 2.545 Å, rel. 62
2θ = 42.37°, 2.133 Å, rel. 37
2θ = 45.28°, 2.003 Å, rel. 39
2θ = 47.19°, 1.926 Å, rel. 52



8.
The following is a theoretical powder diffractogram of Th2Al5Ga3. It was derived from a structure optimized by DFT (GGA-PBE), using a wavelength of 1.5418 Å.
Intensities are scaled so that the largest is 100.

Atomic structure:
a = 11.0956 Å, b = 12.0467 Å, c = 6.0191 Å
α = 90.00°, β = 90.00°, γ = 90.00°
Space group Ibam (No. 72)
Inequivalent atoms, fractional coordinates:
1 Th 0.2455 0.1279 0.0000 x8
2 Al 0.0000 0.2627 0.2500 x8
3 Al 0.0000 0.5000 0.2500 x4
4 Al 0.1299 0.1294 0.5000 x8
5 Ga 0.0000 0.0000 0.2500 x4
6 Ga 0.1448 0.3814 0.0000 x8

Peak list (10 most intense, 2θ from 10° to 90°, low angle first)
2θ = 15.98°, 5.548 Å, rel. 38
2θ = 22.37°, 3.975 Å, rel. 57
2θ = 29.67°, 3.011 Å, rel. 42
2θ = 32.06°, 2.792 Å, rel. 82
2θ = 33.88°, 2.646 Å, rel. 100
2θ = 42.46°, 2.129 Å, rel. 42
2θ = 46.13°, 1.968 Å, rel. 42
2θ = 54.18°, 1.693 Å, rel. 38
2θ = 64.48°, 1.445 Å, rel. 30
2θ = 72.20°, 1.308 Å, rel. 22



9.
The following is a theoretical powder diffractogram of Y2Th2AlGa4. It was derived from a structure optimized by DFT (GGA-PBE), using a wavelength of 1.5418 Å.
Intensities are scaled so that the largest is 100.

Atomic structure:
a = 7.0399 Å, b = 7.0399 Å, c = 9.1577 Å
α = 90.00°, β = 90.00°, γ = 90.00°
Space group I4/mmm (No. 139)
Inequivalent atoms, fractional coordinates:
1 Y 0.0000 0.5000 0.2500 x4
2 Th 0.0000 0.0000 0.1928 x4
3 Al 0.0000 0.0000 0.5000 x2
4 Ga 0.2478 0.2478 0.5000 x8

Peak list (10 most intense, 2θ from 10° to 90°, low angle first)
2θ = 15.88°, 5.581 Å, rel. 13
2θ = 17.82°, 4.978 Å, rel. 27
2θ = 25.30°, 3.520 Å, rel. 19
2θ = 31.96°, 2.801 Å, rel. 29
2θ = 32.07°, 2.791 Å, rel. 100
2θ = 36.09°, 2.489 Å, rel. 53
2θ = 41.20°, 2.191 Å, rel. 32
2θ = 51.96°, 1.760 Å, rel. 19
2θ = 55.91°, 1.645 Å, rel. 14
2θ = 62.36°, 1.489 Å, rel. 38



10.
The following is a theoretical powder diffractogram of Ti3Al3Ga2. It was derived from a structure optimized by DFT (GGA-PBE), using a wavelength of 1.5418 Å.
Intensities are scaled so that the largest is 100.

Atomic structure:
a = 3.9084 Å, b = 4.0126 Å, c = 8.0703 Å
α = 90.00°, β = 90.00°, γ = 90.00°
Space group Pmmm (No. 47)
Inequivalent atoms, fractional coordinates:
1 Ti 0.0000 0.0000 0.0000 x1
2 Ti 0.5000 0.0000 0.2649 x2
3 Al 0.0000 0.0000 0.5000 x1
4 Al 0.5000 0.5000 0.0000 x1
5 Al 0.5000 0.5000 0.5000 x1
6 Ga 0.0000 0.5000 0.2393 x2

Peak list (10 most intense, 2θ from 10° to 90°, low angle first)
2θ = 22.03°, 4.035 Å, rel. 10
2θ = 39.16°, 2.300 Å, rel. 100
2θ = 44.93°, 2.018 Å, rel. 16
2θ = 45.19°, 2.006 Å, rel. 17
2θ = 46.47°, 1.954 Å, rel. 15
2θ = 65.63°, 1.423 Å, rel. 10
2θ = 66.83°, 1.400 Å, rel. 10
2θ = 78.97°, 1.212 Å, rel. 10
2θ = 79.35°, 1.207 Å, rel. 11
2θ = 81.21°, 1.185 Å, rel. 11



11.
The following is a theoretical powder diffractogram of Ti3Al5Ga. It was derived from a structure optimized by DFT (GGA-PBE), using a wavelength of 1.5418 Å.
Intensities are scaled so that the largest is 100.

Atomic structure:
a = 7.8509 Å, b = 7.8509 Å, c = 10.3237 Å
α = 90.00°, β = 90.00°, γ = 90.00°
Space group I4/mcm (No. 140)
Inequivalent atoms, fractional coordinates:
1 Ti 0.0000 0.0000 0.2500 x4
2 Ti 0.1056 0.3944 0.0000 x8
3 Al 0.0000 0.0000 0.0000 x4
4 Al 0.1970 0.3030 0.3666 x16
5 Ga 0.0000 0.5000 0.2500 x4

Peak list (10 most intense, 2θ from 10° to 90°, low angle first)
2θ = 15.96°, 5.551 Å, rel. 43
2θ = 22.65°, 3.925 Å, rel. 30
2θ = 32.25°, 2.776 Å, rel. 80
2θ = 36.56°, 2.458 Å, rel. 54
2θ = 36.76°, 2.445 Å, rel. 21
2θ = 40.31°, 2.237 Å, rel. 23
2θ = 41.89°, 2.157 Å, rel. 100
2θ = 42.43°, 2.131 Å, rel. 34
2θ = 49.70°, 1.835 Å, rel. 29
2θ = 64.16°, 1.452 Å, rel. 18



12.
The following is a theoretical powder diffractogram of TmAlGa4. It was derived from a structure optimized by DFT (GGA-PBE), using a wavelength of 1.5418 Å.
Intensities are scaled so that the largest is 100.

Atomic structure:
a = 5.6186 Å, b = 8.7796 Å, c = 5.0478 Å
α = 90.00°, β = 109.37°, γ = 90.00°
Space group C2/m (No. 12)
Inequivalent atoms, fractional coordinates:
1 Tm 0.0000 0.0000 0.0000 x2
2 Al 0.0000 0.5000 0.5000 x2
3 Ga 0.0000 0.1847 0.5000 x4
4 Ga 0.0000 0.3449 0.0000 x4

Peak list (10 most intense, 2θ from 10° to 90°, low angle first)
2θ = 18.63°, 4.762 Å, rel. 24
2θ = 19.56°, 4.538 Å, rel. 29
2θ = 27.64°, 3.228 Å, rel. 33
2θ = 33.82°, 2.650 Å, rel. 68
2θ = 37.09°, 2.424 Å, rel. 100
2θ = 37.78°, 2.381 Å, rel. 50
2θ = 41.75°, 2.164 Å, rel. 38
2θ = 42.67°, 2.119 Å, rel. 67
2θ = 58.55°, 1.577 Å, rel. 26
2θ = 63.84°, 1.458 Å, rel. 20



13.
The following is a theoretical powder diffractogram of Tm2Al2Ga. It was derived from a structure optimized by DFT (GGA-PBE), using a wavelength of 1.5418 Å.
Intensities are scaled so that the largest is 100.

Atomic structure:
a = 3.3679 Å, b = 4.3908 Å, c = 14.1421 Å
α = 90.00°, β = 90.00°, γ = 90.00°
Space group Amm2 (No. 38)
Inequivalent atoms, fractional coordinates:
1 Tm 0.0000 0.0000 0.0000 x2
2 Tm 0.0000 0.0000 0.2325 x2
3 Al 0.5000 0.0000 0.6175 x2
4 Al 0.5000 0.0000 0.8162 x2
5 Ga 0.5000 0.0000 0.4179 x2

Peak list (10 most intense, 2θ from 10° to 90°, low angle first)
2θ = 21.19°, 4.193 Å, rel. 64
2θ = 25.19°, 3.536 Å, rel. 42
2θ = 34.15°, 2.626 Å, rel. 100
2θ = 36.86°, 2.439 Å, rel. 62
2θ = 37.84°, 2.378 Å, rel. 69
2θ = 38.73°, 2.325 Å, rel. 46
2θ = 41.12°, 2.195 Å, rel. 33
2θ = 56.39°, 1.632 Å, rel. 36
2θ = 68.25°, 1.374 Å, rel. 24
2θ = 70.47°, 1.336 Å, rel. 26